Calculated powder X-ray diffraction pattern
Compound: InIr2Au
Radiation: λ = 1.5418 Å (Cu Kα)
Structure: DFT lattice parameters and positions (GGA-PBE)

Cell lengths 4.5763, 4.5763, 4.5763 Å; angles 60.00, 60.00, 60.00 degrees
Atoms (fractional coordinates):
In  0.0000  0.0000  0.0000
Ir  0.5000  0.5000  0.5000
Ir  0.7500  0.7500  0.7500
Au  0.2500  0.2500  0.2500

Top 9 peaks for 10° ≤ 2θ ≤ 80°, by angle:
2θ/deg, I (rel.)
23.8, 3
27.6, 2
39.4, 100
46.5, 1
48.7, 1
56.9, 17
62.6, 1
64.4, 1
71.4, 35